This entry pairs a crystal structure of Cd11InHg17 with its theoretical powder XRD pattern. Radiation: Cu Kα (weighted mean of Kα1 and Kα2). Structure: DFT lattice parameters and positions (PBE).
Lines closer than 0.1° are merged.

Atomic structure:
a = 11.453 Å, b = 16.927 Å, c = 8.897 Å
α = 90.00°, β = 121.48°, γ = 90.00°
Space group Cm (No. 8)
Symmetry-distinct sites (fractional):
1 Cd 0.000 0.000 0.000
2 Cd 0.065 0.383 0.628
3 Cd 0.173 0.094 0.896
4 Cd 0.177 0.273 0.452
5 Cd 0.228 0.407 0.265
6 Cd 0.449 0.189 0.082
7 In 0.222 0.000 0.418
8 Hg 0.015 0.000 0.537
9 Hg 0.160 0.288 0.958
10 Hg 0.205 0.500 0.940
11 Hg 0.271 0.500 0.600
12 Hg 0.286 0.166 0.273
13 Hg 0.326 0.133 0.696
14 Hg 0.385 0.332 0.823
15 Hg 0.445 0.000 0.314
16 Hg 0.451 0.000 0.980
17 Hg 0.475 0.369 0.217
18 Hg 0.488 0.304 0.558

Peak list (6 most intense, 10 to 90 degrees two-theta, most intense first)
Position (°2θ)  d (Å)  I_rel  (hkl)
32.2  2.784  100  1 5 1
31.7  2.823  93  0 4 2
36.8  2.442  39  2 0 2
33.4  2.685  34  1 5 -2
35.4  2.539  33  3 3 -3
35.5  2.530  33  0 0 3